This entry pairs a crystal structure of TaInMoO6 with its simulated X-ray powder pattern. Radiation: Cu Ka. Structure: a crystal structure in Alexandria, relaxed with GGA+U.
Peak positions follow from Bragg's law for the DFT cell and can differ from measured ones.

Atomic structure:
```
TaInMoO6
1.0
5.2909 0.0000 0.0000
-2.6455 4.5821 0.0000
0.0000 0.0000 9.1636
Ta In Mo O
2 2 2 12
direct
0.3333 0.6667 0.2500 Ta
0.6667 0.3333 0.7500 Ta
0.3333 0.6667 0.7500 In
0.6667 0.3333 0.2500 In
0.0000 0.0000 0.0000 Mo
0.0000 0.0000 0.5000 Mo
0.0294 0.3409 0.1281 O
0.0294 0.6886 0.3719 O
0.3114 0.3409 0.3719 O
0.3114 0.9706 0.1281 O
0.3409 0.0294 0.6281 O
0.3409 0.3114 0.8719 O
0.6591 0.6886 0.1281 O
0.6591 0.9706 0.3719 O
0.6886 0.0294 0.8719 O
0.6886 0.6591 0.6281 O
0.9706 0.3114 0.6281 O
0.9706 0.6591 0.8719 O
```

The 10 most intense peaks (5 to 70 degrees two-theta), sorted by position:
hkl, d_spacing, Rel. int.
0 0 2, 4.582, 30
1 0 1, 4.098, 10
1 0 2, 3.240, 100
1 1 0, 2.645, 57
0 0 4, 2.291, 39
2 0 2, 2.049, 29
1 1 4, 1.732, 51
3 -1 2, 1.620, 26
3 0 0, 1.527, 20
1 0 6, 1.449, 15